Structure and simulated X-ray powder pattern of Ho3PaP4 (DFT lattice parameters and positions (PBE); copper Kα).
Neutral-atom scattering factors, no anomalous dispersion.

Top 10 peaks for 2θ from 10° to 90°, in order of rising 2θ:
hkl, 2theta, I_rel
2 2 0, 27.50, 95
2 0 1, 31.85, 100
0 0 2, 45.58, 12
4 0 0, 45.69, 61
4 2 1, 54.13, 39
0 4 2, 56.70, 13
4 4 0, 56.82, 13
6 2 0, 73.50, 16
6 0 1, 75.73, 28
6 4 1, 84.53, 17

```
data_Ho3PaP4
_chemical_formula_sum 'Ho6 Pa2 P8'
_space_group_name_H-M_alt 'C m m m'
_space_group_IT_number 65
_space_group_name_Hall '-C 2 2'
_cell_length_a 7.9387
_cell_length_b 11.2258
_cell_length_c 3.9804
_cell_angle_alpha 90.00
_cell_angle_beta 90.00
_cell_angle_gamma 90.00
loop_
_atom_site_label
_atom_site_fract_x
_atom_site_fract_y
_atom_site_fract_z
_atom_site_occupancy
Ho1 0.0000 0.0000 0.0000 1
Ho2 0.2500 0.2500 0.5000 1
Pa1 0.0000 0.5000 0.0000 1
P1 0.0000 0.2527 0.0000 1
P2 0.2478 0.5000 0.5000 1
```